# PmIn2Te4
Calculated X-ray diffraction stick pattern, Cu Kα. Input: a structure optimized by DFT (PBE).
Lines closer than 0.1° are merged.

Structural model:
a = 8.388 Å, b = 8.388 Å, c = 7.425 Å
α = 90.00°, β = 90.00°, γ = 90.00°
Space group I4/m (No. 87)
Symmetry-distinct sites (fractional):
Pm 0.000 0.000 0.000 [2 per cell]
In 0.000 0.500 0.250 [4 per cell]
Te 0.183 0.698 0.500 [8 per cell]

Largest 8 diffraction maxima, in order of rising 2θ, 2θ = 10–90°:
| hkl | Position (°2θ) | I_rel |
| --- | --- | --- |
| 1 2 1 | 26.6 | 100 |
| 1 1 2 | 28.4 | 33 |
| 2 2 0 | 30.1 | 58 |
| 2 0 2 | 32.2 | 47 |
| 3 1 2 | 41.9 | 68 |
| 4 1 1 | 46.3 | 37 |
| 2 2 4 | 58.7 | 35 |
| 5 3 2 | 70.2 | 31 |



# Pm6In3Te
Calculated X-ray diffraction stick pattern, Cu Kα. Input: a structure optimized by DFT (PBE).
Lines closer than 0.1° are merged.

Structural model:
a = 12.756 Å, b = 13.353 Å, c = 7.548 Å
α = 90.00°, β = 90.00°, γ = 90.00°
Space group Cmc2_1 (No. 36)
Symmetry-distinct sites (fractional):
Pm 0.000 0.007 0.000 [4 per cell]
Pm 0.000 0.308 0.590 [4 per cell]
Pm 0.130 0.340 0.073 [8 per cell]
Pm 0.237 0.087 0.191 [8 per cell]
In 0.000 0.499 0.329 [4 per cell]
In 0.156 0.149 0.778 [8 per cell]
Te 0.000 0.175 0.265 [4 per cell]

Largest 8 diffraction maxima, in order of rising 2θ, 2θ = 10–90°:
| hkl | Position (°2θ) | I_rel |
| --- | --- | --- |
| 3 1 1 | 24.9 | 40 |
| 2 4 0 | 30.2 | 24 |
| 2 2 2 | 30.6 | 21 |
| 1 3 2 | 31.9 | 100 |
| 2 4 1 | 32.5 | 69 |
| 4 2 1 | 33.3 | 88 |
| 3 1 3 | 42.3 | 31 |
| 7 3 2 | 60.1 | 21 |



# Pm7ThIn4
Calculated X-ray diffraction stick pattern, Cu Kα. Input: a structure optimized by DFT (PBE).
Lines closer than 0.1° are merged.

Structural model:
a = 14.649 Å, b = 5.908 Å, c = 10.500 Å
α = 90.00°, β = 123.13°, γ = 90.00°
Space group C2/m (No. 12)
Symmetry-distinct sites (fractional):
Pm 0.000 0.000 0.000 [2 per cell]
Pm 0.062 0.500 0.391 [4 per cell]
Pm 0.204 0.500 0.884 [4 per cell]
Pm 0.226 0.000 0.668 [4 per cell]
Th 0.000 0.500 0.000 [2 per cell]
In 0.053 0.000 0.744 [4 per cell]
In 0.184 0.000 0.336 [4 per cell]

Largest 8 diffraction maxima, in order of rising 2θ, 2θ = 10–90°:
| hkl | Position (°2θ) | I_rel |
| --- | --- | --- |
| 4 0 -3 | 28.4 | 59 |
| 1 1 2 | 29.3 | 57 |
| 3 1 -3 | 30.1 | 44 |
| 0 2 0 | 30.3 | 100 |
| 0 0 3 | 30.5 | 26 |
| 3 1 1 | 32.5 | 26 |
| 5 1 -1 | 35.6 | 68 |
| 4 2 -3 | 42.0 | 41 |



# Pm6ThIn3
Calculated X-ray diffraction stick pattern, Cu Kα. Input: a structure optimized by DFT (PBE).
Lines closer than 0.1° are merged.

Structural model:
a = 9.744 Å, b = 5.452 Å, c = 12.061 Å
α = 90.00°, β = 108.24°, γ = 90.00°
Space group P2_1/m (No. 11)
Symmetry-distinct sites (fractional):
Pm 0.043 0.250 0.414 [2 per cell]
Pm 0.150 0.750 0.182 [2 per cell]
Pm 0.234 0.250 0.004 [2 per cell]
Pm 0.332 0.750 0.784 [2 per cell]
Pm 0.369 0.250 0.337 [2 per cell]
Pm 0.405 0.250 0.613 [2 per cell]
Th 0.458 0.750 0.078 [2 per cell]
In 0.049 0.750 0.883 [2 per cell]
In 0.132 0.250 0.715 [2 per cell]
In 0.272 0.750 0.471 [2 per cell]

Largest 8 diffraction maxima, in order of rising 2θ, 2θ = 10–90°:
| hkl | Position (°2θ) | I_rel |
| --- | --- | --- |
| 2 0 -4 | 31.2 | 44 |
| 3 1 -1 | 32.1 | 100 |
| 1 1 3 | 32.5 | 99 |
| 0 2 0 | 32.8 | 62 |
| 2 1 -4 | 35.3 | 25 |
| 2 2 -4 | 45.9 | 30 |
| 4 0 2 | 46.7 | 20 |
| 1 3 3 | 58.4 | 18 |



# Pm4ThIn2
Calculated X-ray diffraction stick pattern, Cu Kα. Input: a structure optimized by DFT (PBE).
Lines closer than 0.1° are merged.

Structural model:
a = 6.054 Å, b = 6.054 Å, c = 12.456 Å
α = 90.00°, β = 90.00°, γ = 90.00°
Space group I4/mmm (No. 139)
Symmetry-distinct sites (fractional):
Pm 0.000 0.500 0.000 [4 per cell]
Pm 0.000 0.500 0.250 [4 per cell]
Th 0.000 0.000 0.000 [2 per cell]
In 0.000 0.000 0.373 [4 per cell]

Largest 8 diffraction maxima, in order of rising 2θ, 2θ = 10–90°:
| hkl | Position (°2θ) | I_rel |
| --- | --- | --- |
| 1 0 3 | 26.0 | 39 |
| 2 0 0 | 29.5 | 100 |
| 1 1 4 | 35.7 | 40 |
| 2 1 3 | 39.7 | 26 |
| 2 0 4 | 41.6 | 24 |
| 2 2 0 | 42.2 | 38 |
| 3 1 4 | 56.4 | 21 |
| 2 0 8 | 67.7 | 24 |



# Pm6TlIn2
Calculated X-ray diffraction stick pattern, Cu Kα. Input: a structure optimized by DFT (PBE).
Lines closer than 0.1° are merged.

Structural model:
a = 8.5381 Å, b = 8.5381 Å, c = 4.5109 Å
α = 90.00°, β = 90.00°, γ = 120.00°
Space group P-62m (No. 189)
Symmetry-distinct sites (fractional):
Pm 0.0000 0.2714 0.0000 [3 per cell]
Pm 0.0000 0.5992 0.5000 [3 per cell]
Tl 0.0000 0.0000 0.5000 [1 per cell]
In 0.3333 0.6667 0.0000 [2 per cell]

Largest 8 diffraction maxima, in order of rising 2θ, 2θ = 10–90°:
| hkl | Position (°2θ) | I_rel |
| --- | --- | --- |
| 1 1 1 | 28.8 | 100 |
| 2 0 1 | 31.3 | 94 |
| 2 1 0 | 32.0 | 35 |
| 3 0 0 | 36.5 | 56 |
| 2 1 1 | 37.9 | 36 |
| 0 0 2 | 40.0 | 29 |
| 3 0 2 | 55.2 | 34 |
| 3 2 1 | 58.1 | 41 |



# Pm3Tl2In2
Calculated X-ray diffraction stick pattern, Cu Kα. Input: a structure optimized by DFT (PBE).
Lines closer than 0.1° are merged.

Structural model:
a = 4.685 Å, b = 23.254 Å, c = 3.646 Å
α = 90.00°, β = 90.00°, γ = 90.00°
Space group Cmmm (No. 65)
Symmetry-distinct sites (fractional):
Pm 0.000 0.000 0.000 [2 per cell]
Pm 0.000 0.156 0.000 [4 per cell]
Tl 0.000 0.426 0.500 [4 per cell]
In 0.000 0.286 0.500 [4 per cell]

Largest 8 diffraction maxima, in order of rising 2θ, 2θ = 10–90°:
| hkl | Position (°2θ) | I_rel |
| --- | --- | --- |
| 1 1 1 | 31.3 | 100 |
| 1 7 0 | 33.1 | 88 |
| 0 6 1 | 33.8 | 56 |
| 2 0 0 | 38.4 | 32 |
| 0 0 2 | 50.0 | 17 |
| 2 6 1 | 52.1 | 33 |
| 1 13 1 | 61.0 | 22 |
| 1 7 2 | 61.3 | 32 |



# Pm15Tl4In
Calculated X-ray diffraction stick pattern, Cu Kα. Input: a structure optimized by DFT (PBE).
Lines closer than 0.1° are merged.

Structural model:
a = 4.955 Å, b = 4.955 Å, c = 24.888 Å
α = 90.00°, β = 90.00°, γ = 90.00°
Space group P4/mmm (No. 123)
Symmetry-distinct sites (fractional):
Pm 0.000 0.000 0.000 [1 per cell]
Pm 0.000 0.000 0.200 [2 per cell]
Pm 0.000 0.000 0.400 [2 per cell]
Pm 0.000 0.500 0.100 [4 per cell]
Pm 0.000 0.500 0.300 [4 per cell]
Pm 0.000 0.500 0.500 [2 per cell]
Tl 0.500 0.500 0.200 [2 per cell]
Tl 0.500 0.500 0.400 [2 per cell]
In 0.500 0.500 0.000 [1 per cell]

Largest 8 diffraction maxima, in order of rising 2θ, 2θ = 10–90°:
| hkl | Position (°2θ) | I_rel |
| --- | --- | --- |
| 1 1 5 | 31.2 | 100 |
| 0 0 10 | 36.1 | 17 |
| 2 0 0 | 36.3 | 34 |
| 2 0 10 | 52.1 | 24 |
| 1 1 15 | 61.9 | 14 |
| 3 1 5 | 62.1 | 28 |
| 2 2 10 | 65.1 | 12 |
| 3 1 15 | 85.2 | 12 |